1.
Ni5P4: calculated powder diffractogram (copper Kα), based on a crystal structure in the Materials Project, relaxed with PBE.
Peak positions follow from Bragg's law for the DFT cell and can differ from measured ones.

Structural model:
a b c (Å): 6.7786 6.7786 10.9778
angles (deg): 90.00 90.00 120.00
Space group P6_3mc (No. 186)
Unique sites:
Ni  0.0000  0.0000  0.0000
Ni  0.0741  0.5371  0.3896
Ni  0.0810  0.5405  0.6804
Ni  0.2070  0.4141  0.0382
P  0.0000  0.0000  0.3007
P  0.1790  0.3580  0.2428
P  0.1819  0.3638  0.5321
P  0.3333  0.6667  0.8595

Peak list (10 most intense, 5° ≤ 2θ ≤ 70°, by intensity)
2θ/deg	I_rel
53.08	100
45.23	77
47.95	66
44.02	62
47.18	59
54.12	52
36.13	48
30.45	47
28.75	37
31.55	29

2.
CsLuCdTe3: calculated powder diffractogram (copper Kα), based on a crystal structure in the Materials Project, relaxed with PBE.
Peak positions follow from Bragg's law for the DFT cell and can differ from measured ones.

Structural model:
a b c (Å): 4.497 17.375 11.786
angles (deg): 90.00 90.00 90.00
Space group Cmcm (No. 63)
Unique sites:
Cs  0.000  0.249  0.250
Lu  0.000  0.000  0.000
Cd  0.000  0.461  0.750
Te  0.000  0.064  0.750
Te  0.000  0.382  0.542

Peak list (10 most intense, 5° ≤ 2θ ≤ 70°, by intensity)
2θ/deg	I_rel
26.20	100
10.18	95
29.36	64
36.04	59
30.34	54
40.09	44
46.22	41
47.82	34
25.07	31
51.09	28